No. 1
For Ac2AgPdO6, a DFT-relaxed cell (GGA-PBE, Alexandria) gives the calculated X-ray diffraction stick pattern in this record (Cu Kα, 1.54184 Å).

Atomic structure:
Cell lengths 5.8577, 5.8577, 4.1786 Å; angles 90.00, 90.00, 90.00 degrees
Space group P4mm (No. 99)
Symmetry-distinct sites (fractional):
Ac 0.0000 0.5000 0.0000 x2
Ag 0.0000 0.0000 0.5421 x1
Pd 0.5000 0.5000 0.5632 x1
O 0.0000 0.0000 0.0468 x1
O 0.2575 0.2575 0.5994 x4
O 0.5000 0.5000 0.0654 x1

Most intense lines, 2θ from 10° to 90°, most intense first:
2θ/deg	I_rel
30.39	100
30.52	51
54.16	41
43.71	28
53.90	21
72.08	18
63.22	15
37.50	15
43.31	12
88.21	11

***

No. 2
For TlPb2S2, a DFT-relaxed cell (GGA-PBE, Alexandria) gives the calculated X-ray diffraction stick pattern in this record (Cu Kα, 1.54184 Å).

Atomic structure:
Cell lengths 8.2424, 8.2424, 3.8977 Å; angles 90.00, 90.00, 90.00 degrees
Space group P4/mbm (No. 127)
Symmetry-distinct sites (fractional):
Tl 0.0000 0.0000 0.0000 x2
Pb 0.1546 0.3454 0.5000 x4
S 0.1511 0.6511 0.0000 x4

Most intense lines, 2θ from 10° to 90°, most intense first:
2θ/deg	I_rel
33.46	100
34.41	74
27.53	57
24.14	57
31.59	46
59.20	31
52.64	30
50.07	25
65.52	21
46.60	17

***

No. 3
For Li3Re4, a DFT-relaxed cell (GGA-PBE, Alexandria) gives the calculated X-ray diffraction stick pattern in this record (Cu Kα, 1.54184 Å).

Atomic structure:
Cell lengths 4.5658, 4.5658, 5.0096 Å; angles 90.00, 90.00, 120.00 degrees
Space group P6/mmm (No. 191)
Symmetry-distinct sites (fractional):
Li 0.0000 0.5000 0.0000 x3
Re 0.0000 0.0000 0.2449 x2
Re 0.3333 0.6667 0.5000 x2

Most intense lines, 2θ from 10° to 90°, most intense first:
2θ/deg	I_rel
39.47	100
42.73	93
17.70	53
73.84	38
43.57	37
59.57	33
28.76	31
22.49	25
89.19	21
71.59	18

***

No. 4
For K2P3, a DFT-relaxed cell (GGA-PBE, Alexandria) gives the calculated X-ray diffraction stick pattern in this record (Cu Kα, 1.54184 Å).

Atomic structure:
Cell lengths 8.4001, 14.8997, 18.8944 Å; angles 90.00, 90.00, 90.00 degrees
Space group Fddd (No. 70, origin choice 2)
Symmetry-distinct sites (fractional):
K 0.1250 0.1250 0.9998 x16
K 0.1250 0.1250 0.4892 x16
P 0.0992 0.3022 0.8770 x32
P 0.1250 0.2703 0.6250 x16

Most intense lines, 2θ from 10° to 90°, most intense first:
2θ/deg	I_rel
30.91	100
30.56	48
42.28	29
38.10	23
12.97	19
58.21	19
53.73	15
43.07	14
15.15	12
58.84	10

***

No. 5
For LiPa2O6, a DFT-relaxed cell (GGA-PBE, Alexandria) gives the calculated X-ray diffraction stick pattern in this record (Cu Kα, 1.54184 Å).

Atomic structure:
Cell lengths 5.7900, 5.7900, 3.6303 Å; angles 90.00, 90.00, 120.00 degrees
Space group P-3 (No. 147)
Symmetry-distinct sites (fractional):
Li 0.0000 0.0000 0.0000 x1
Pa 0.3333 0.6667 0.7457 x2
O 0.0807 0.6911 0.2463 x6

Most intense lines, 2θ from 10° to 90°, most intense first:
2θ/deg	I_rel
30.40	100
17.69	73
30.89	63
43.89	52
54.63	50
60.17	20
54.93	18
72.83	18
89.34	14
77.66	13

***

No. 6
For Sm2Dy2Rh3, a DFT-relaxed cell (GGA-PBE, Alexandria) gives the calculated X-ray diffraction stick pattern in this record (Cu Kα, 1.54184 Å).

Atomic structure:
Cell lengths 8.3503, 4.8322, 8.5731 Å; angles 90.00, 108.96, 90.00 degrees
Space group C2/m (No. 12)
Symmetry-distinct sites (fractional):
Sm 0.1242 0.0000 0.3725 x4
Dy 0.1257 0.5000 0.8769 x4
Rh 0.0000 0.0000 0.0000 x2
Rh 0.2473 0.5000 0.2426 x4

Most intense lines, 2θ from 10° to 90°, most intense first:
2θ/deg	I_rel
36.55	100
37.26	95
53.18	34
25.87	25
66.69	23
65.31	18
89.46	16
10.91	13
66.78	11
67.14	11